No. 1
Diffraction record for CsTiCuBr6. The X-ray powder pattern is calculated, not measured: it uses a structure optimized by DFT (PBE) and λ = 1.5418 Å (Cu Kα).
No peak broadening, texture or thermal motion is included.

Largest 10 diffraction maxima, by intensity, 10 to 80 degrees two-theta:
d_spacing  Position (°2θ)  I (rel.)
3.348  26.62  100
3.222  27.68  93
4.529  19.60  67
4.895  18.12  64
2.724  32.88  63
7.824  11.31  60
2.417  37.21  59
3.143  28.39  37
2.941  30.40  27
2.257  39.94  25

Cell and atoms:
abc: 7.283 7.283 7.857
angles: 92.37 92.37 125.89
Atoms (fractional coordinates):
Cs 0.000 0.000 0.000
Ti 0.297 0.703 0.500
Cu 0.576 0.424 0.500
Br 0.026 0.465 0.250
Br 0.257 0.378 0.651
Br 0.382 0.054 0.347
Br 0.535 0.974 0.750
Br 0.622 0.743 0.349
Br 0.946 0.618 0.653



No. 2
Diffraction record for CsTl2Cu2Br7. The X-ray powder pattern is calculated, not measured: it uses a structure optimized by DFT (PBE) and λ = 1.5418 Å (Cu Kα).
No peak broadening, texture or thermal motion is included.

Largest 10 diffraction maxima, by intensity, 10 to 80 degrees two-theta:
d_spacing  Position (°2θ)  I (rel.)
4.610  19.25  100
3.064  29.14  91
3.663  24.30  76
2.115  42.76  57
2.966  30.13  42
3.481  25.59  36
5.060  17.53  28
2.258  39.92  27
2.305  39.08  25
1.951  46.55  21

Cell and atoms:
abc: 11.956 11.956 11.956
angles: 35.68 35.68 35.68
Atoms (fractional coordinates):
Cs 0.000 0.000 0.000
Tl 0.196 0.196 0.196
Tl 0.804 0.804 0.804
Cu 0.426 0.426 0.426
Cu 0.574 0.574 0.574
Br 0.084 0.431 0.718
Br 0.282 0.569 0.916
Br 0.431 0.718 0.084
Br 0.500 0.500 0.500
Br 0.569 0.916 0.282
Br 0.718 0.084 0.431
Br 0.916 0.282 0.569



No. 3
Diffraction record for Cs3Dy2Br9. The X-ray powder pattern is calculated, not measured: it uses a structure optimized by DFT (PBE) and λ = 1.5418 Å (Cu Kα).
No peak broadening, texture or thermal motion is included.

Largest 10 diffraction maxima, by intensity, 10 to 80 degrees two-theta:
d_spacing  Position (°2θ)  I (rel.)
3.090  28.90  100
2.416  37.21  37
2.009  45.13  31
4.018  22.12  22
6.959  12.72  22
1.883  48.34  22
3.358  26.54  16
1.684  54.48  15
1.724  53.11  15
3.024  29.54  13

Cell and atoms:
abc: 10.473 10.473 10.473
angles: 83.29 83.29 83.29
Atoms (fractional coordinates):
Cs 0.088 0.750 0.412
Cs 0.250 0.588 0.912
Cs 0.412 0.088 0.750
Cs 0.588 0.912 0.250
Cs 0.750 0.412 0.088
Cs 0.912 0.250 0.588
Dy 0.153 0.153 0.153
Dy 0.347 0.347 0.347
Dy 0.653 0.653 0.653
Dy 0.847 0.847 0.847
Br 0.080 0.916 0.734
Br 0.084 0.266 0.920
Br 0.095 0.405 0.250
Br 0.234 0.416 0.580
Br 0.250 0.095 0.405
Br 0.266 0.920 0.084
Br 0.405 0.250 0.095
Br 0.416 0.580 0.234
Br 0.420 0.766 0.584
Br 0.580 0.234 0.416
Br 0.584 0.420 0.766
Br 0.595 0.750 0.905
Br 0.734 0.080 0.916
Br 0.750 0.905 0.595
Br 0.766 0.584 0.420
Br 0.905 0.595 0.750
Br 0.916 0.734 0.080
Br 0.920 0.084 0.266



No. 4
Diffraction record for CsErBr4. The X-ray powder pattern is calculated, not measured: it uses a structure optimized by DFT (PBE) and λ = 1.5418 Å (Cu Kα).
No peak broadening, texture or thermal motion is included.

Largest 10 diffraction maxima, by intensity, 10 to 80 degrees two-theta:
d_spacing  Position (°2θ)  I (rel.)
2.814  31.80  100
5.461  16.23  85
2.698  33.21  65
2.990  29.88  58
3.114  28.67  49
2.960  30.19  45
2.049  44.19  39
4.503  19.71  38
2.088  43.34  37
5.213  17.01  32

Cell and atoms:
abc: 12.557 12.557 10.436
angles: 112.16 112.16 25.90
Atoms (fractional coordinates):
Cs 0.246 0.246 0.242
Cs 0.754 0.754 0.758
Er 0.092 0.092 0.597
Er 0.908 0.908 0.403
Br 0.005 0.005 0.324
Br 0.174 0.174 0.865
Br 0.182 0.182 0.502
Br 0.409 0.409 0.405
Br 0.591 0.591 0.595
Br 0.818 0.818 0.498
Br 0.826 0.826 0.135
Br 0.995 0.995 0.676



No. 5
Diffraction record for Cs3Er2Br9. The X-ray powder pattern is calculated, not measured: it uses a structure optimized by DFT (PBE) and λ = 1.5418 Å (Cu Kα).
No peak broadening, texture or thermal motion is included.

Largest 10 diffraction maxima, by intensity, 10 to 80 degrees two-theta:
d_spacing  Position (°2θ)  I (rel.)
3.077  29.02  100
2.412  37.28  41
1.998  45.40  31
6.920  12.79  25
3.995  22.25  23
1.882  48.36  22
3.366  26.48  19
1.675  54.79  16
3.026  29.52  14
1.284  73.82  13

Cell and atoms:
abc: 10.446 10.446 10.446
angles: 82.97 82.97 82.97
Atoms (fractional coordinates):
Cs 0.089 0.750 0.411
Cs 0.250 0.589 0.911
Cs 0.411 0.089 0.750
Cs 0.589 0.911 0.250
Cs 0.750 0.411 0.089
Cs 0.911 0.250 0.589
Er 0.154 0.154 0.154
Er 0.346 0.346 0.346
Er 0.654 0.654 0.654
Er 0.846 0.846 0.846
Br 0.078 0.914 0.734
Br 0.086 0.266 0.922
Br 0.095 0.405 0.250
Br 0.234 0.414 0.578
Br 0.250 0.095 0.405
Br 0.266 0.922 0.086
Br 0.405 0.250 0.095
Br 0.414 0.578 0.234
Br 0.422 0.766 0.586
Br 0.578 0.234 0.414
Br 0.586 0.422 0.766
Br 0.595 0.750 0.905
Br 0.734 0.078 0.914
Br 0.750 0.905 0.595
Br 0.766 0.586 0.422
Br 0.905 0.595 0.750
Br 0.914 0.734 0.078
Br 0.922 0.086 0.266



No. 6
Diffraction record for Cs6Er3Br14. The X-ray powder pattern is calculated, not measured: it uses a structure optimized by DFT (PBE) and λ = 1.5418 Å (Cu Kα).
No peak broadening, texture or thermal motion is included.

Largest 10 diffraction maxima, by intensity, 10 to 80 degrees two-theta:
d_spacing  Position (°2θ)  I (rel.)
4.494  19.76  100
3.178  28.08  86
2.911  30.71  64
6.618  13.38  64
3.379  26.38  63
3.718  23.94  61
3.060  29.18  56
2.109  42.89  53
6.120  14.47  51
4.884  18.16  50

Cell and atoms:
abc: 13.237 13.237 7.238
angles: 90.00 90.00 120.00
Atoms (fractional coordinates):
Cs 0.023 0.571 0.000
Cs 0.306 0.091 0.523
Cs 0.429 0.452 0.000
Cs 0.548 0.977 0.000
Cs 0.785 0.694 0.523
Cs 0.909 0.215 0.523
Er 0.000 0.000 0.961
Er 0.333 0.667 0.435
Er 0.667 0.333 0.277
Br 0.000 0.000 0.328
Br 0.064 0.855 0.812
Br 0.145 0.209 0.812
Br 0.191 0.455 0.298
Br 0.264 0.809 0.298
Br 0.333 0.667 0.803
Br 0.466 0.199 0.062
Br 0.531 0.399 0.490
Br 0.545 0.736 0.298
Br 0.601 0.132 0.490
Br 0.733 0.534 0.062
Br 0.791 0.936 0.812
Br 0.801 0.267 0.062
Br 0.868 0.469 0.490